Entry 1:
Dy3Ni7B2: calculated powder X-ray diffraction pattern (Cu Kα X-rays), based on a structure optimized by DFT (PBE).

Atomic structure:
```
24
Lattice="5.071 0.000 0.000 -2.536 4.392 0.000 0.000 0.000 14.288" Properties=species:S:1:pos:R:3 pbc="T T T"
Dy 0.000 2.928 0.456
Dy 0.000 2.928 3.572
Dy 0.000 2.928 6.688
Dy 2.536 1.464 7.600
Dy 2.536 1.464 10.716
Dy 2.536 1.464 13.832
Ni 0.000 0.000 0.000
Ni 0.000 0.000 7.144
Ni 0.000 1.454 9.275
Ni 0.000 1.454 12.157
Ni -1.276 3.665 9.275
Ni -1.276 3.665 12.157
Ni 1.259 0.727 2.131
Ni 1.259 0.727 5.013
Ni 1.276 3.665 9.275
Ni 1.276 3.665 12.157
Ni 3.812 0.727 2.131
Ni 3.812 0.727 5.013
Ni 2.536 2.937 2.131
Ni 2.536 2.937 5.013
B 0.000 0.000 3.572
B 0.000 0.000 10.716
B 0.000 2.928 10.716
B 2.536 1.464 3.572
```

Peak list (10 most intense, 2θ from 10° to 90°, low angle first)
2θ = 32.31°, rel. 17.1; 2θ = 35.40°, rel. 39.3; 2θ = 37.57°, rel. 100.0; 2θ = 41.11°, rel. 18.8; 2θ = 41.61°, rel. 57.1; 2θ = 43.78°, rel. 75.7; 2θ = 64.98°, rel. 36.7; 2θ = 69.38°, rel. 18.6; 2θ = 73.62°, rel. 23.7; 2θ = 74.90°, rel. 20.2

Entry 2:
Dy3Ni13B2: calculated powder X-ray diffraction pattern (Cu Kα X-rays), based on a structure optimized by DFT (PBE).

Atomic structure:
```
18
Lattice="4.928 0.000 0.000 -2.464 4.268 0.000 0.000 0.000 10.906" Properties=species:S:1:pos:R:3 pbc="T T T"
Dy 0.000 0.000 0.000
Dy 0.000 0.000 3.574
Dy 0.000 0.000 7.332
Ni -1.232 2.134 1.455
Ni -1.232 2.134 5.453
Ni -1.232 2.134 9.451
Ni 0.000 2.845 3.478
Ni 0.000 2.845 7.428
Ni 2.464 0.000 1.455
Ni 2.464 0.000 5.453
Ni 2.464 0.000 9.451
Ni 1.232 2.134 1.455
Ni 1.232 2.134 5.453
Ni 1.232 2.134 9.451
Ni 2.464 1.423 3.478
Ni 2.464 1.423 7.428
B 0.000 2.845 0.000
B 2.464 1.423 0.000
```

Peak list (10 most intense, 2θ from 10° to 90°, low angle first)
2θ = 32.35°, rel. 76.8; 2θ = 36.46°, rel. 33.0; 2θ = 42.35°, rel. 59.2; 2θ = 44.41°, rel. 100.0; 2θ = 50.19°, rel. 14.5; 2θ = 63.04°, rel. 22.7; 2θ = 63.61°, rel. 14.8; 2θ = 67.71°, rel. 15.0; 2θ = 71.17°, rel. 23.4; 2θ = 77.47°, rel. 19.2

Entry 3:
DyNi2B2: calculated powder X-ray diffraction pattern (Cu Kα X-rays), based on a structure optimized by DFT (PBE).

Atomic structure:
```
10
Lattice="4.193 -2.627 0.000 4.193 2.627 0.000 -4.142 0.000 5.485" Properties=species:S:1:pos:R:3 pbc="T T T"
Dy 1.087 2.001 4.113
Dy 3.158 -2.001 1.371
Ni 1.884 0.493 1.647
Ni -0.187 -0.493 4.389
Ni 4.431 0.493 1.096
Ni 2.360 -0.493 3.838
B -1.288 0.914 5.362
B 3.461 0.914 2.865
B 0.783 -0.914 2.620
B 5.532 -0.914 0.123
```

Peak list (10 most intense, 2θ from 10° to 90°, low angle first)
2θ = 21.56°, rel. 29.5; 2θ = 26.64°, rel. 36.8; 2θ = 31.74°, rel. 25.1; 2θ = 32.65°, rel. 63.3; 2θ = 37.28°, rel. 42.9; 2θ = 37.42°, rel. 66.7; 2θ = 37.98°, rel. 100.0; 2θ = 44.10°, rel. 36.3; 2θ = 44.46°, rel. 29.1; 2θ = 63.20°, rel. 20.6

Entry 4:
Dy3Ni19B10: calculated powder X-ray diffraction pattern (Cu Kα X-rays), based on a structure optimized by DFT (PBE).

Atomic structure:
```
32
Lattice="6.552 -4.349 0.000 6.552 4.349 0.000 -0.132 0.000 5.754" Properties=species:S:1:pos:R:3 pbc="T T T"
Dy 0.000 0.000 0.000
Dy 4.827 0.000 3.535
Dy 8.145 0.000 2.219
Ni -0.066 0.000 2.877
Ni 3.646 2.053 1.738
Ni 4.758 2.177 5.330
Ni 2.042 0.000 4.046
Ni 2.351 0.000 1.561
Ni 6.122 2.095 1.733
Ni 6.851 2.095 4.021
Ni 8.214 2.177 0.424
Ni 4.936 0.000 0.731
Ni 9.327 2.053 4.016
Ni 3.646 -2.053 1.738
Ni 8.037 0.000 5.023
Ni 4.758 -2.177 5.330
Ni 6.122 -2.095 1.733
Ni 6.851 -2.095 4.021
Ni 10.622 0.000 4.193
Ni 10.930 0.000 1.708
Ni 8.214 -2.177 0.424
Ni 9.327 -2.053 4.016
B 4.932 2.760 3.275
B 3.094 0.897 5.607
B 8.041 2.760 2.479
B 3.094 -0.897 5.607
B 6.552 1.013 0.000
B 6.552 -1.013 0.000
B 9.878 0.897 0.148
B 4.932 -2.760 3.275
B 9.878 -0.897 0.148
B 8.041 -2.760 2.479
```

Peak list (10 most intense, 2θ from 10° to 90°, low angle first)
2θ = 35.79°, rel. 49.1; 2θ = 37.50°, rel. 40.5; 2θ = 38.04°, rel. 39.4; 2θ = 38.49°, rel. 59.2; 2θ = 40.28°, rel. 93.8; 2θ = 41.53°, rel. 100.0; 2θ = 46.50°, rel. 36.6; 2θ = 46.73°, rel. 36.8; 2θ = 47.40°, rel. 44.9; 2θ = 48.95°, rel. 44.2

Entry 5:
DyNi12B6: calculated powder X-ray diffraction pattern (Cu Kα X-rays), based on a structure optimized by DFT (PBE).

Atomic structure:
```
38
Lattice="4.787 -3.681 0.000 4.787 3.681 0.000 0.000 0.000 10.946" Properties=species:S:1:pos:R:3 pbc="T T T"
Dy 4.787 2.479 5.473
Dy 4.787 -2.479 0.000
Ni 3.044 2.292 10.291
Ni 1.266 0.105 8.307
Ni 1.266 -0.105 2.834
Ni 3.540 1.279 8.063
Ni 3.542 1.153 3.055
Ni 4.787 2.063 1.124
Ni 2.917 0.253 0.777
Ni 2.917 -0.253 6.250
Ni 6.529 2.292 10.291
Ni 4.787 0.462 10.109
Ni 6.034 1.279 8.063
Ni 6.031 1.153 3.055
Ni 3.542 -1.153 8.528
Ni 3.540 -1.279 2.590
Ni 4.787 -0.462 4.636
Ni 3.044 -2.292 4.818
Ni 6.656 0.253 0.777
Ni 6.656 -0.253 6.250
Ni 4.787 -2.063 6.597
Ni 6.031 -1.153 8.528
Ni 6.034 -1.279 2.590
Ni 8.307 0.105 8.307
Ni 8.307 -0.105 2.834
Ni 6.529 -2.292 4.818
B 1.966 1.442 6.858
B 4.787 2.474 9.198
B 2.731 0.292 9.716
B 2.731 -0.292 4.242
B 1.966 -1.442 1.385
B 4.787 0.054 1.656
B 4.787 -0.054 7.129
B 7.607 1.442 6.858
B 6.842 0.292 9.716
B 6.842 -0.292 4.242
B 4.787 -2.474 3.725
B 7.607 -1.442 1.385
```

Peak list (10 most intense, 2θ from 10° to 90°, low angle first)
2θ = 31.63°, rel. 28.7; 2θ = 31.74°, rel. 30.9; 2θ = 32.72°, rel. 27.3; 2θ = 34.80°, rel. 46.5; 2θ = 39.49°, rel. 66.8; 2θ = 41.16°, rel. 79.7; 2θ = 41.41°, rel. 100.0; 2θ = 44.18°, rel. 40.7; 2θ = 45.40°, rel. 33.0; 2θ = 61.42°, rel. 29.3

Entry 6:
Dy2NiB10: calculated powder X-ray diffraction pattern (Cu Kα X-rays), based on a structure optimized by DFT (PBE).

Atomic structure:
```
26
Lattice="5.553 0.000 0.000 0.000 11.087 0.000 0.000 0.000 4.144" Properties=species:S:1:pos:R:3 pbc="T T T"
Dy 1.071 1.512 0.000
Dy 1.705 7.056 0.000
Dy 3.848 4.031 0.000
Dy 4.481 9.574 0.000
Ni 0.000 5.543 2.072
Ni 2.776 0.000 2.072
B 0.197 3.461 2.072
B 0.695 10.633 2.072
B 0.856 8.899 2.072
B 1.131 4.279 0.826
B 1.131 4.279 3.318
B 1.645 9.823 0.826
B 1.645 9.823 3.318
B 1.921 3.355 2.072
B 2.081 5.089 2.072
B 2.580 9.005 2.072
B 2.973 2.082 2.072
B 3.471 5.997 2.072
B 3.632 7.731 2.072
B 3.907 1.264 0.826
B 3.907 1.264 3.318
B 4.422 6.807 0.826
B 4.422 6.807 3.318
B 4.697 2.188 2.072
B 4.858 0.454 2.072
B 5.356 7.625 2.072
```

Peak list (10 most intense, 2θ from 10° to 90°, low angle first)
2θ = 21.44°, rel. 29.9; 2θ = 22.67°, rel. 70.8; 2θ = 28.05°, rel. 23.9; 2θ = 31.40°, rel. 100.0; 2θ = 32.28°, rel. 26.7; 2θ = 39.08°, rel. 77.8; 2θ = 39.92°, rel. 17.1; 2θ = 43.69°, rel. 18.0; 2θ = 46.29°, rel. 18.7; 2θ = 49.77°, rel. 27.8

Entry 7:
Dy4B6O15: calculated powder X-ray diffraction pattern (Cu Kα X-rays), based on a structure optimized by DFT (PBE).

Atomic structure:
```
50
Lattice="5.877 -2.204 0.000 5.877 2.204 0.000 -2.145 0.000 18.847" Properties=species:S:1:pos:R:3 pbc="T T T"
Dy 2.378 1.328 16.987
Dy 2.767 1.276 13.136
Dy 6.157 1.328 11.283
Dy 5.768 1.276 15.134
Dy 3.840 -1.276 3.713
Dy 3.451 -1.328 7.563
Dy 6.841 -1.276 5.711
Dy 7.230 -1.328 1.860
B 2.755 1.359 9.913
B 4.541 0.909 1.653
B 4.430 0.998 5.762
B 6.250 0.998 3.662
B 5.781 1.359 18.357
B 6.139 0.909 7.771
B 3.469 -0.909 11.076
B 3.827 -1.359 0.490
B 3.358 -0.998 15.185
B 5.178 -0.998 13.085
B 5.067 -0.909 17.194
B 6.853 -1.359 8.933
O -0.599 0.524 18.439
O 0.614 0.590 13.254
O 3.450 1.062 2.614
O 2.459 0.899 8.500
O 5.340 1.610 4.712
O 4.910 1.425 7.128
O 5.771 1.425 2.295
O 0.473 -0.524 9.016
O 3.644 0.553 10.751
O 1.687 -0.590 3.831
O 3.389 0.437 15.139
O 7.230 1.062 6.809
O 4.892 0.553 17.519
O 5.147 0.437 13.131
O 1.387 -0.899 17.923
O 8.221 0.899 0.924
O 4.461 -0.437 5.716
O 4.716 -0.553 1.328
O 2.378 -1.062 12.038
O 6.219 -0.437 3.707
O 7.921 0.590 15.016
O 5.964 -0.553 8.096
O 9.135 0.524 9.831
O 3.837 -1.425 16.551
O 4.698 -1.425 11.719
O 4.268 -1.610 14.135
O 7.149 -0.899 10.347
O 6.158 -1.062 16.232
O 8.994 -0.590 5.592
O 10.207 -0.524 0.408
```

Peak list (10 most intense, 2θ from 10° to 90°, low angle first)
2θ = 22.25°, rel. 53.5; 2θ = 22.87°, rel. 32.1; 2θ = 25.60°, rel. 27.2; 2θ = 30.62°, rel. 100.0; 2θ = 30.76°, rel. 21.4; 2θ = 31.49°, rel. 62.1; 2θ = 32.81°, rel. 48.3; 2θ = 40.96°, rel. 20.5; 2θ = 48.10°, rel. 20.1; 2θ = 52.64°, rel. 20.6

Entry 8:
Dy2B3O8: calculated powder X-ray diffraction pattern (Cu Kα X-rays), based on a structure optimized by DFT (PBE).

Atomic structure:
```
52
Lattice="12.937 0.000 0.000 0.000 4.387 0.000 0.000 0.000 8.943" Properties=species:S:1:pos:R:3 pbc="T T T"
Dy 1.801 0.222 0.346
Dy 1.801 4.164 4.817
Dy 4.668 1.971 4.817
Dy 4.668 2.416 0.346
Dy 8.269 1.971 8.597
Dy 8.269 2.416 4.125
Dy 11.136 0.222 4.125
Dy 11.136 4.164 8.597
B 0.000 1.909 6.707
B 0.000 2.478 2.236
B 2.497 2.097 2.708
B 2.497 2.289 7.179
B 3.971 0.096 7.179
B 3.971 4.291 2.708
B 6.468 0.284 2.236
B 6.468 4.102 6.707
B 8.966 0.096 6.235
B 8.966 4.291 1.764
B 10.439 2.097 1.764
B 10.439 2.289 6.235
O 0.061 0.969 7.847
O 0.061 3.418 3.376
O 1.211 1.607 2.143
O 1.211 2.780 6.615
O 2.439 2.029 4.155
O 2.439 2.357 8.626
O 2.804 0.909 6.672
O 2.804 3.478 2.201
O 3.664 1.284 2.201
O 3.664 3.102 6.672
O 4.030 0.164 8.626
O 4.030 4.223 4.155
O 5.257 0.586 6.615
O 5.257 3.800 2.143
O 6.408 1.225 3.376
O 6.408 3.162 7.847
O 6.529 1.225 1.096
O 6.529 3.162 5.567
O 7.680 0.586 6.799
O 7.680 3.800 2.328
O 8.907 0.164 4.788
O 8.907 4.223 0.316
O 9.272 1.284 2.271
O 9.272 3.102 6.742
O 10.133 0.909 6.742
O 10.133 3.478 2.271
O 10.498 2.029 0.316
O 10.498 2.357 4.788
O 11.725 1.607 2.328
O 11.725 2.780 6.799
O 12.876 0.969 5.567
O 12.876 3.418 1.096
```

Peak list (10 most intense, 2θ from 10° to 90°, low angle first)
2θ = 19.86°, rel. 84.3; 2θ = 21.39°, rel. 70.6; 2θ = 27.58°, rel. 51.5; 2θ = 29.04°, rel. 68.1; 2θ = 29.35°, rel. 100.0; 2θ = 31.75°, rel. 52.7; 2θ = 34.22°, rel. 67.8; 2θ = 35.43°, rel. 72.9; 2θ = 46.10°, rel. 32.4; 2θ = 47.78°, rel. 48.0